The following is a calculated X-ray diffraction stick pattern of TbPr2Tl9. It was derived from a PBE-relaxed structure, using copper Kα.

Top 10 peaks for 2θ = 15–90°, low angle first:
2θ = 18.4°, d 4.829, I = 1
2θ = 26.1°, d 3.414, I = 1
2θ = 32.1°, d 2.788, I = 100
2θ = 37.2°, d 2.414, I = 51
2θ = 41.8°, d 2.159, I = 1
2θ = 53.7°, d 1.707, I = 36
2θ = 63.9°, d 1.456, I = 42
2θ = 67.2°, d 1.394, I = 12
2θ = 79.4°, d 1.207, I = 6
2θ = 88.2°, d 1.108, I = 18

Crystal structure
```
data_TbPr2Tl9
_chemical_formula_sum 'Tb1 Pr2 Tl9'
_cell_length_a 4.829
_cell_length_b 4.829
_cell_length_c 14.483
_cell_angle_alpha 90.00
_cell_angle_beta 90.00
_cell_angle_gamma 90.00
_space_group_name_H-M_alt 'P 1'
_space_group_IT_number 1
loop_
_space_group_symop_operation_xyz
'x,y,z'
loop_
_atom_site_label
_atom_site_type_symbol
_atom_site_fract_x
_atom_site_fract_y
_atom_site_fract_z
_atom_site_occupancy
Tb1 Tb 0.000 0.000 0.000 1
Pr1 Pr 0.000 0.000 0.331 1
Pr2 Pr 0.000 0.000 0.669 1
Tl1 Tl 0.000 0.500 0.163 1
Tl2 Tl 0.000 0.500 0.500 1
Tl3 Tl 0.000 0.500 0.837 1
Tl4 Tl 0.500 0.000 0.163 1
Tl5 Tl 0.500 0.000 0.500 1
Tl6 Tl 0.500 0.000 0.837 1
Tl7 Tl 0.500 0.500 0.000 1
Tl8 Tl 0.500 0.500 0.332 1
Tl9 Tl 0.500 0.500 0.668 1
```

The following is a calculated X-ray diffraction stick pattern of Nd5Ho4Cd. It was derived from a PBE-relaxed structure, using copper Kα.

Top 10 peaks for 2θ = 15–90°, low angle first:
2θ = 30.7°, d 2.916, I = 100
2θ = 34.9°, d 2.570, I = 37
2θ = 36.8°, d 2.444, I = 13
2θ = 50.2°, d 1.817, I = 13
2θ = 51.6°, d 1.771, I = 20
2θ = 60.0°, d 1.542, I = 30
2θ = 62.5°, d 1.487, I = 9
2θ = 63.8°, d 1.458, I = 10
2θ = 81.9°, d 1.176, I = 6
2θ = 84.2°, d 1.150, I = 10

Crystal structure
```
data_Nd5Ho4Cd
_chemical_formula_sum 'Nd5 Ho4 Cd1'
_cell_length_a 3.634
_cell_length_b 3.634
_cell_length_c 24.436
_cell_angle_alpha 90.00
_cell_angle_beta 90.00
_cell_angle_gamma 90.00
_space_group_name_H-M_alt 'P 1'
_space_group_IT_number 1
loop_
_space_group_symop_operation_xyz
'x,y,z'
loop_
_atom_site_label
_atom_site_type_symbol
_atom_site_fract_x
_atom_site_fract_y
_atom_site_fract_z
_atom_site_occupancy
Nd1 Nd 0.000 0.000 0.000 1
Nd2 Nd 0.000 0.000 0.206 1
Nd3 Nd 0.000 0.000 0.412 1
Nd4 Nd 0.000 0.000 0.588 1
Nd5 Nd 0.000 0.000 0.794 1
Ho1 Ho 0.500 0.500 0.103 1
Ho2 Ho 0.500 0.500 0.309 1
Ho3 Ho 0.500 0.500 0.691 1
Ho4 Ho 0.500 0.500 0.897 1
Cd1 Cd 0.500 0.500 0.500 1
```

The following is a calculated X-ray diffraction stick pattern of PtBr3N2. It was derived from a PBE-relaxed structure, using copper Kα.

Top 10 peaks for 2θ = 15–90°, low angle first:
2θ = 16.7°, d 5.314, I = 45
2θ = 16.8°, d 5.262, I = 98
2θ = 20.0°, d 4.436, I = 100
2θ = 20.6°, d 4.318, I = 42
2θ = 26.3°, d 3.392, I = 50
2θ = 26.6°, d 3.351, I = 31
2θ = 26.9°, d 3.318, I = 32
2θ = 32.7°, d 2.738, I = 59
2θ = 42.1°, d 2.145, I = 30
2θ = 42.8°, d 2.112, I = 29

Crystal structure
```
data_PtBr3N2
_chemical_formula_sum 'Pt1 Br3 N2'
_cell_length_a 7.024
_cell_length_b 7.024
_cell_length_c 7.024
_cell_angle_alpha 104.13
_cell_angle_beta 101.66
_cell_angle_gamma 123.63
_space_group_name_H-M_alt 'P 1'
_space_group_IT_number 1
loop_
_space_group_symop_operation_xyz
'x,y,z'
loop_
_atom_site_label
_atom_site_type_symbol
_atom_site_fract_x
_atom_site_fract_y
_atom_site_fract_z
_atom_site_occupancy
Pt1 Pt 0.000 0.000 0.000 1
Br1 Br 0.613 0.248 0.636 1
Br2 Br 0.613 0.977 0.364 1
Br3 Br 0.636 0.636 0.000 1
N1 N 0.301 0.130 0.171 1
N2 N 0.959 0.130 0.829 1
```

The following is a calculated X-ray diffraction stick pattern of La6Cu5Ag. It was derived from a PBE-relaxed structure, using copper Kα.

Top 10 peaks for 2θ = 15–90°, low angle first:
2θ = 24.0°, d 3.702, I = 10
2θ = 34.3°, d 2.618, I = 51
2θ = 34.5°, d 2.602, I = 100
2θ = 49.2°, d 1.851, I = 18
2θ = 49.9°, d 1.829, I = 9
2θ = 61.5°, d 1.509, I = 27
2θ = 61.5°, d 1.507, I = 9
2θ = 61.9°, d 1.499, I = 17
2θ = 72.7°, d 1.301, I = 11
2θ = 82.4°, d 1.170, I = 7

Crystal structure
```
data_La6Cu5Ag
_chemical_formula_sum 'La6 Cu5 Ag1'
_cell_length_a 5.239
_cell_length_b 7.315
_cell_length_c 8.269
_cell_angle_alpha 90.00
_cell_angle_beta 108.39
_cell_angle_gamma 90.00
_space_group_name_H-M_alt 'P 1'
_space_group_IT_number 1
loop_
_space_group_symop_operation_xyz
'x,y,z'
loop_
_atom_site_label
_atom_site_type_symbol
_atom_site_fract_x
_atom_site_fract_y
_atom_site_fract_z
_atom_site_occupancy
La1 La 0.000 0.239 0.000 1
La2 La 0.000 0.761 0.000 1
La3 La 0.330 0.247 0.657 1
La4 La 0.330 0.753 0.657 1
La5 La 0.670 0.247 0.343 1
La6 La 0.670 0.753 0.343 1
Cu1 Cu 0.162 0.500 0.326 1
Cu2 Cu 0.163 0.000 0.330 1
Cu3 Cu 0.500 0.000 0.000 1
Cu4 Cu 0.837 0.000 0.670 1
Cu5 Cu 0.838 0.500 0.674 1
Ag1 Ag 0.500 0.500 0.000 1
```

The following is a calculated X-ray diffraction stick pattern of Th3CuPd3. It was derived from a PBE-relaxed structure, using copper Kα.

Top 10 peaks for 2θ = 15–90°, low angle first:
2θ = 25.0°, d 3.558, I = 27
2θ = 27.1°, d 3.293, I = 38
2θ = 32.1°, d 2.789, I = 36
2θ = 32.4°, d 2.766, I = 100
2θ = 36.1°, d 2.488, I = 33
2θ = 38.3°, d 2.347, I = 20
2θ = 41.7°, d 2.168, I = 26
2θ = 42.8°, d 2.114, I = 26
2θ = 46.1°, d 1.968, I = 21
2θ = 54.5°, d 1.685, I = 17

Crystal structure
```
data_Th3CuPd3
_chemical_formula_sum 'Th3 Cu1 Pd3'
_cell_length_a 10.292
_cell_length_b 10.292
_cell_length_c 10.292
_cell_angle_alpha 157.95
_cell_angle_beta 156.30
_cell_angle_gamma 32.59
_space_group_name_H-M_alt 'P 1'
_space_group_IT_number 1
loop_
_space_group_symop_operation_xyz
'x,y,z'
loop_
_atom_site_label
_atom_site_type_symbol
_atom_site_fract_x
_atom_site_fract_y
_atom_site_fract_z
_atom_site_occupancy
Th1 Th 0.000 0.000 0.000 1
Th2 Th 0.357 0.357 0.000 1
Th3 Th 0.679 0.179 0.500 1
Cu1 Cu 0.244 0.744 0.500 1
Pd1 Pd 0.116 0.616 0.500 1
Pd2 Pd 0.518 0.518 0.000 1
Pd3 Pd 0.832 0.832 0.000 1
```

The following is a calculated X-ray diffraction stick pattern of HfTaH4. It was derived from a PBE-relaxed structure, using copper Kα.

Top 10 peaks for 2θ = 15–90°, low angle first:
2θ = 33.6°, d 2.669, I = 100
2θ = 33.8°, d 2.654, I = 99
2θ = 38.4°, d 2.344, I = 34
2θ = 39.4°, d 2.286, I = 63
2θ = 56.2°, d 1.637, I = 48
2θ = 66.4°, d 1.408, I = 14
2θ = 66.5°, d 1.406, I = 14
2θ = 67.7°, d 1.385, I = 27
2θ = 68.0°, d 1.379, I = 26
2θ = 70.6°, d 1.335, I = 12

Crystal structure
```
data_HfTaH4
_chemical_formula_sum 'Hf2 Ta2 H8'
_cell_length_a 5.703
_cell_length_b 5.688
_cell_length_c 4.573
_cell_angle_alpha 66.51
_cell_angle_beta 66.16
_cell_angle_gamma 47.34
_space_group_name_H-M_alt 'P 1'
_space_group_IT_number 1
loop_
_space_group_symop_operation_xyz
'x,y,z'
loop_
_atom_site_label
_atom_site_type_symbol
_atom_site_fract_x
_atom_site_fract_y
_atom_site_fract_z
_atom_site_occupancy
Hf1 Hf 0.125 0.125 0.125 1
Hf2 Hf 0.875 0.875 0.875 1
Ta1 Ta 0.375 0.375 0.375 1
Ta2 Ta 0.625 0.625 0.625 1
H1 H 0.001 0.501 0.260 1
H2 H 0.260 0.739 0.001 1
H3 H 0.261 0.740 0.499 1
H4 H 0.499 0.999 0.261 1
H5 H 0.501 0.001 0.739 1
H6 H 0.739 0.260 0.501 1
H7 H 0.740 0.261 0.999 1
H8 H 0.999 0.499 0.740 1
```